# CrFeO3
Theoretical X-ray diffraction stick pattern, Cu Kα, 1.54184 Å. Input: a crystal structure in the Materials Project, relaxed with GGA+U.
Intensities are scaled so that the largest is 100.

Structure:
abc: 5.4660 5.4660 5.4660
angles: 55.62 55.62 55.62
Sites, in units of the cell vectors:
Cr  0.1533  0.1533  0.1533
Cr  0.8467  0.8467  0.8467
Fe  0.3568  0.3568  0.3568
Fe  0.6432  0.6432  0.6432
O  0.0531  0.7548  0.4457
O  0.2452  0.5543  0.9469
O  0.4457  0.0531  0.7548
O  0.5543  0.9469  0.2452
O  0.7548  0.4457  0.0531
O  0.9469  0.2452  0.5543

Main lines, by intensity (10 to 90 degrees two-theta):
d 2.721, rel. 100
d 2.550, rel. 84
d 1.709, rel. 64
d 3.721, rel. 44
d 1.861, rel. 40
d 1.472, rel. 38
d 1.503, rel. 34
d 2.231, rel. 23